No. 1
# Na2AlSi3HO9
Calculated powder XRD pattern, Cu Kα. Input: DFT lattice parameters and positions (PBE).
Lines closer than 0.1° are merged.

Structural model:
Cell lengths 7.271, 7.345, 8.793 Å; angles 80.42, 79.15, 64.46 degrees
Atoms (fractional coordinates):
Na 0.112 0.215 0.056
Na 0.261 0.413 0.442
Na 0.739 0.587 0.558
Na 0.888 0.785 0.944
Al 0.453 0.804 0.853
Al 0.547 0.196 0.147
Si 0.085 0.096 0.693
Si 0.306 0.947 0.362
Si 0.398 0.401 0.814
Si 0.602 0.599 0.186
Si 0.694 0.053 0.638
Si 0.915 0.904 0.307
H 0.090 0.430 0.752
H 0.910 0.570 0.248
O 0.027 0.334 0.652
O 0.119 0.959 0.276
O 0.145 0.495 0.823
O 0.202 0.997 0.849
O 0.238 0.962 0.548
O 0.363 0.133 0.281
O 0.466 0.237 0.964
O 0.478 0.578 0.794
O 0.499 0.277 0.654
O 0.501 0.723 0.346
O 0.522 0.422 0.206
O 0.534 0.763 0.036
O 0.637 0.867 0.719
O 0.762 0.038 0.452
O 0.798 0.003 0.151
O 0.855 0.505 0.177
O 0.881 0.041 0.724
O 0.973 0.666 0.348

Peak list (10 most intense, 10 to 90 degrees two-theta, in order of rising 2θ)
2θ 13.42, I = 55; 2θ 20.67, I = 51; 2θ 22.80, I = 68; 2θ 23.27, I = 51; 2θ 24.72, I = 52; 2θ 28.03, I = 56; 2θ 29.34, I = 43; 2θ 29.56, I = 100; 2θ 32.27, I = 59; 2θ 32.60, I = 42

No. 2
# Pr3SiAgS7
Calculated powder XRD pattern, Cu Kα. Input: DFT lattice parameters and positions (PBE).
Lines closer than 0.1° are merged.

Structural model:
Cell lengths 10.377, 10.377, 5.809 Å; angles 90.00, 90.00, 120.00 degrees
Atoms (fractional coordinates):
Pr 0.125 0.360 0.000
Pr 0.235 0.875 0.000
Pr 0.360 0.235 0.500
Pr 0.640 0.765 0.000
Pr 0.765 0.125 0.500
Pr 0.875 0.640 0.500
Si 0.333 0.667 0.414
Si 0.667 0.333 0.914
Ag 0.000 0.000 0.063
Ag 0.000 0.000 0.563
S 0.093 0.268 0.516
S 0.116 0.590 0.270
S 0.176 0.907 0.516
S 0.268 0.176 0.016
S 0.333 0.667 0.779
S 0.410 0.526 0.270
S 0.474 0.884 0.270
S 0.526 0.116 0.770
S 0.590 0.474 0.770
S 0.667 0.333 0.279
S 0.732 0.824 0.516
S 0.824 0.093 0.016
S 0.884 0.410 0.770
S 0.907 0.732 0.016

Peak list (10 most intense, 10 to 90 degrees two-theta, in order of rising 2θ)
2θ 22.98, I = 44; 2θ 25.05, I = 100; 2θ 26.24, I = 65; 2θ 30.78, I = 35; 2θ 32.39, I = 37; 2θ 34.57, I = 57; 2θ 36.03, I = 72; 2θ 39.34, I = 50; 2θ 40.88, I = 73; 2θ 48.10, I = 41

No. 3
# SmAlZn
Calculated powder XRD pattern, Cu Kα. Input: DFT lattice parameters and positions (PBE).
Lines closer than 0.1° are merged.

Structural model:
Cell lengths 5.740, 5.740, 7.378 Å; angles 128.87, 128.87, 46.83 degrees
Atoms (fractional coordinates):
Sm 0.035 0.035 0.288
Sm 0.965 0.965 0.712
Al 0.337 0.337 0.889
Al 0.663 0.663 0.111
Zn 0.337 0.337 0.285
Zn 0.663 0.663 0.715

Peak list (10 most intense, 10 to 90 degrees two-theta, in order of rising 2θ)
2θ 22.67, I = 54; 2θ 23.15, I = 23; 2θ 32.60, I = 31; 2θ 33.15, I = 61; 2θ 33.29, I = 43; 2θ 33.54, I = 100; 2θ 34.07, I = 24; 2θ 39.51, I = 44; 2θ 40.38, I = 63; 2θ 52.59, I = 23

Which formula does entry 1 have? Na2AlSi3HO9